Record 1
# TiP3O
Simulated powder diffraction line list, Cu Kα. Input: a structure optimized by DFT (GGA-PBE).

Principal peaks in the range 10 to 90 degrees two-theta, sorted by position:
2θ/deg	I/Imax
30.86	21
38.03	100
44.20	75
54.88	6
64.29	44
73.01	2
77.21	36
81.33	15
89.48	2

Structure:
abc: 4.098 4.098 4.098
angles: 90.00 90.00 90.00
Element x y z (fractional)
Ti 0.000 0.000 0.000
P 0.000 0.500 0.500
P 0.500 0.000 0.500
P 0.500 0.500 0.000
O 0.500 0.500 0.500

Record 2
# Np3Si4Ru7
Simulated powder diffraction line list, Cu Kα. Input: a structure optimized by DFT (GGA-PBE).

Principal peaks in the range 10 to 90 degrees two-theta, sorted by position:
2θ/deg	I/Imax
23.82	19
24.16	27
31.24	25
36.61	19
36.93	100
37.13	79
39.33	18
44.47	24
45.07	33
65.17	15

Structure:
abc: 7.869 7.869 9.165
angles: 125.14 125.14 29.62
Element x y z (fractional)
Np 0.000 0.000 0.000
Np 0.324 0.324 0.323
Np 0.676 0.676 0.677
Si 0.114 0.114 0.384
Si 0.340 0.340 0.958
Si 0.660 0.660 0.042
Si 0.886 0.886 0.616
Ru 0.000 0.000 0.500
Ru 0.160 0.160 0.891
Ru 0.302 0.302 0.658
Ru 0.495 0.495 0.279
Ru 0.505 0.505 0.721
Ru 0.698 0.698 0.342
Ru 0.840 0.840 0.109

Record 3
# CuAg5O3
Simulated powder diffraction line list, Cu Kα. Input: a structure optimized by DFT (GGA-PBE).

Principal peaks in the range 10 to 90 degrees two-theta, sorted by position:
2θ/deg	I/Imax
32.16	9
34.74	100
35.08	69
37.63	11
38.22	20
40.32	13
44.42	13
47.69	16
62.06	10
62.71	12

Structure:
abc: 6.419 6.419 7.564
angles: 106.72 106.72 72.89
Element x y z (fractional)
Cu 0.034 0.034 0.266
Cu 0.966 0.966 0.734
Ag 0.074 0.610 0.365
Ag 0.270 0.270 0.067
Ag 0.301 0.699 0.000
Ag 0.390 0.926 0.635
Ag 0.448 0.448 0.646
Ag 0.552 0.552 0.354
Ag 0.610 0.074 0.365
Ag 0.699 0.301 0.000
Ag 0.730 0.730 0.933
Ag 0.926 0.390 0.635
O 0.000 0.000 0.000
O 0.000 0.000 0.500
O 0.237 0.237 0.336
O 0.301 0.301 0.805
O 0.699 0.699 0.195
O 0.763 0.763 0.664

Record 4
# La2PrAgOs
Simulated powder diffraction line list, Cu Kα. Input: a structure optimized by DFT (GGA-PBE).

Principal peaks in the range 10 to 90 degrees two-theta, sorted by position:
2θ/deg	I/Imax
15.43	34
16.09	49
22.37	25
27.67	60
31.16	42
32.51	100
35.26	28
45.65	58
46.63	36
57.15	30

Structure:
abc: 5.509 5.509 5.741
angles: 90.00 90.00 90.00
Element x y z (fractional)
La 0.000 0.500 0.000
La 0.500 0.000 0.000
Pr 0.000 0.000 0.530
Ag 0.500 0.500 0.629
Os 0.000 0.000 0.045

Record 5
# Ni4Sn3Ge
Simulated powder diffraction line list, Cu Kα. Input: a structure optimized by DFT (GGA-PBE).

Principal peaks in the range 10 to 90 degrees two-theta, sorted by position:
2θ/deg	I/Imax
30.65	21
34.14	18
36.22	100
43.02	84
50.62	23
52.17	36
69.85	38
76.90	13
77.63	17
88.08	15

Structure:
abc: 9.919 5.253 4.960
angles: 90.00 90.00 90.00
Element x y z (fractional)
Ni 0.000 0.134 0.000
Ni 0.000 0.827 0.499
Ni 0.234 0.837 0.001
Ni 0.266 0.163 0.501
Ni 0.500 0.173 0.999
Ni 0.500 0.866 0.500
Ni 0.734 0.163 0.501
Ni 0.766 0.837 0.001
Sn 0.000 0.315 0.500
Sn 0.245 0.323 0.001
Sn 0.255 0.677 0.501
Sn 0.500 0.685 0.000
Sn 0.745 0.677 0.501
Sn 0.755 0.323 0.001
Ge 0.000 0.677 0.000
Ge 0.500 0.323 0.500

Record 6
# BeZnInNiPd
Simulated powder diffraction line list, Cu Kα. Input: a structure optimized by DFT (GGA-PBE).

Principal peaks in the range 10 to 90 degrees two-theta, sorted by position:
2θ/deg	I/Imax
31.29	52
39.94	59
40.08	100
41.06	33
41.92	25
43.13	89
46.07	22
58.04	20
68.18	19
72.76	26

Structure:
abc: 8.625 3.178 6.659
angles: 90.00 128.62 90.00
Element x y z (fractional)
Be 0.000 0.000 0.000
Be 0.500 0.500 0.000
Zn 0.303 0.000 0.049
Zn 0.803 0.500 0.049
In 0.093 0.000 0.490
In 0.593 0.500 0.490
Ni 0.200 0.500 0.264
Ni 0.700 0.000 0.264
Pd 0.488 0.000 0.737
Pd 0.988 0.500 0.737

Record 7
# Li3Ti2P3O12
Simulated powder diffraction line list, Cu Kα. Input: a structure optimized by DFT (GGA-PBE).

Principal peaks in the range 10 to 90 degrees two-theta, sorted by position:
2θ/deg	I/Imax
14.34	29
24.25	100
25.82	64
32.58	49
34.97	54
35.12	55
36.45	52
39.38	22
44.10	25
64.08	26

Structure:
abc: 4.966 4.966 18.536
angles: 90.39 90.39 67.20
Element x y z (fractional)
Li 0.002 0.002 0.330
Li 0.330 0.330 0.591
Li 0.334 0.334 0.254
Li 0.666 0.666 0.746
Li 0.670 0.670 0.409
Li 0.998 0.998 0.670
Ti 0.000 0.000 0.000
Ti 0.000 0.000 0.500
Ti 0.001 0.001 0.160
Ti 0.999 0.999 0.840
P 0.345 0.345 0.757
P 0.348 0.348 0.082
P 0.350 0.350 0.420
P 0.650 0.650 0.580
P 0.652 0.652 0.918
P 0.655 0.655 0.243
O 0.228 0.691 0.080
O 0.230 0.230 0.822
O 0.232 0.689 0.761
O 0.236 0.236 0.016
O 0.239 0.694 0.423
O 0.243 0.243 0.489
O 0.248 0.248 0.152
O 0.248 0.248 0.352
O 0.248 0.248 0.687
O 0.306 0.761 0.577
O 0.309 0.772 0.920
O 0.311 0.768 0.239
O 0.689 0.232 0.761
O 0.691 0.228 0.080
O 0.694 0.239 0.423
O 0.752 0.752 0.313
O 0.752 0.752 0.648
O 0.752 0.752 0.848
O 0.757 0.757 0.511
O 0.761 0.306 0.577
O 0.764 0.764 0.984
O 0.768 0.311 0.239
O 0.770 0.770 0.178
O 0.772 0.309 0.920

Record 8
# TmPd3Pt
Simulated powder diffraction line list, Cu Kα. Input: a structure optimized by DFT (GGA-PBE).

Principal peaks in the range 10 to 90 degrees two-theta, sorted by position:
2θ/deg	I/Imax
19.18	18
31.02	23
34.15	15
36.72	30
37.11	19
39.91	18
40.43	49
40.71	100
42.26	26
44.35	14

Structure:
abc: 5.120 7.878 4.903
angles: 90.00 115.33 90.00
Element x y z (fractional)
Tm 0.000 0.205 0.250
Tm 0.000 0.795 0.750
Pd 0.316 0.126 0.898
Pd 0.316 0.874 0.398
Pd 0.500 0.424 0.250
Pd 0.500 0.576 0.750
Pd 0.684 0.126 0.602
Pd 0.684 0.874 0.102
Pt 0.000 0.419 0.750
Pt 0.000 0.581 0.250